# 1
For Rb3TbEr2S6, DFT lattice parameters and positions (GGA-PBE) gives the theoretical XRD peak list in this record (λ = 1.5418 Å (Cu Kα)).
Lines closer than 0.1° are merged.

Peak list (8 most intense, 2θ from 10° to 90°, sorted by position)
2θ (°)	Rel. int.
11.5	32.5
23.1	25.4
26.5	46.7
29.7	100.0
40.5	36.8
44.6	33.5
50.8	19.4
54.5	17.4

Structural model:
```
data_Rb3TbEr2S6
_chemical_formula_sum 'Rb3 Tb1 Er2 S6'
_symmetry_space_group_name_H-M 'P 1'
_symmetry_Int_Tables_number 1
_cell_length_a 7.0374
_cell_length_b 7.0374
_cell_length_c 8.0347
_cell_angle_alpha 98.39
_cell_angle_beta 98.39
_cell_angle_gamma 120.00
loop_
_symmetry_equiv_pos_as_xyz
'x,y,z'
loop_
_atom_site_label
_atom_site_fract_x
_atom_site_fract_y
_atom_site_fract_z
Rb1 0.0000 0.0000 0.0000
Rb2 0.3337 0.6663 0.0000
Rb3 0.6663 0.3337 0.0000
Tb1 0.5000 0.5000 0.5000
Er1 0.1667 0.8333 0.5000
Er2 0.8333 0.1667 0.5000
S1 0.0998 0.4363 0.3089
S2 0.2271 0.2271 0.6910
S3 0.4363 0.0998 0.3089
S4 0.5637 0.9002 0.6911
S5 0.7729 0.7729 0.3090
S6 0.9002 0.5637 0.6911
```

# 2
For RbErTm4S8, DFT lattice parameters and positions (GGA-PBE) gives the theoretical XRD peak list in this record (λ = 1.5418 Å (Cu Kα)).
Lines closer than 0.1° are merged.

Peak list (8 most intense, 2θ from 10° to 90°, sorted by position)
2θ (°)	Rel. int.
13.3	22.3
21.7	21.1
25.5	100.0
26.7	19.9
30.9	26.9
40.5	36.5
44.2	29.6
44.4	29.5

Structural model:
```
data_RbErTm4S8
_chemical_formula_sum 'Rb1 Er1 Tm4 S8'
_symmetry_space_group_name_H-M 'P 1'
_symmetry_Int_Tables_number 1
_cell_length_a 8.1898
_cell_length_b 8.1898
_cell_length_c 8.1898
_cell_angle_alpha 59.84
_cell_angle_beta 59.84
_cell_angle_gamma 59.84
loop_
_symmetry_equiv_pos_as_xyz
'x,y,z'
loop_
_atom_site_label
_atom_site_fract_x
_atom_site_fract_y
_atom_site_fract_z
Rb1 0.0000 0.0000 0.0000
Er1 0.3691 0.3691 0.3691
Tm1 0.3695 0.3695 0.8881
Tm2 0.3695 0.8881 0.3695
Tm3 0.7491 0.7491 0.7491
Tm4 0.8881 0.3695 0.3695
S1 0.1423 0.1423 0.5667
S2 0.1423 0.5667 0.1423
S3 0.1437 0.1437 0.1437
S4 0.1454 0.6173 0.6173
S5 0.5667 0.1423 0.1423
S6 0.6173 0.1454 0.6173
S7 0.6173 0.6173 0.1454
S8 0.6170 0.6170 0.6170
```

# 3
For RbErScSe3, DFT lattice parameters and positions (GGA-PBE) gives the theoretical XRD peak list in this record (λ = 1.5418 Å (Cu Kα)).
Lines closer than 0.1° are merged.

Peak list (8 most intense, 2θ from 10° to 90°, sorted by position)
2θ (°)	Rel. int.
11.1	100.0
27.5	32.0
28.3	96.8
29.0	46.8
32.5	30.4
39.2	18.6
41.6	65.8
46.3	27.5

Structural model:
```
data_RbErScSe3
_chemical_formula_sum 'Rb2 Er2 Sc2 Se6'
_symmetry_space_group_name_H-M 'P 1'
_symmetry_Int_Tables_number 1
_cell_length_a 9.2564
_cell_length_b 4.3416
_cell_length_c 10.3053
_cell_angle_alpha 90.00
_cell_angle_beta 109.42
_cell_angle_gamma 90.00
loop_
_symmetry_equiv_pos_as_xyz
'x,y,z'
loop_
_atom_site_label
_atom_site_fract_x
_atom_site_fract_y
_atom_site_fract_z
Rb1 0.2143 0.2500 0.2305
Rb2 0.7857 0.7500 0.7695
Er1 0.3369 0.7500 0.8683
Er2 0.6631 0.2500 0.1317
Sc1 0.0877 0.2500 0.6105
Sc2 0.9123 0.7500 0.3895
Se1 0.1235 0.2500 0.8689
Se2 0.2107 0.7500 0.5542
Se3 0.4703 0.7500 0.1543
Se4 0.5297 0.2500 0.8457
Se5 0.7893 0.2500 0.4458
Se6 0.8765 0.7500 0.1311
```

# 4
For Rb3Er3TaSe8, DFT lattice parameters and positions (GGA-PBE) gives the theoretical XRD peak list in this record (λ = 1.5418 Å (Cu Kα)).
Lines closer than 0.1° are merged.

Peak list (8 most intense, 2θ from 10° to 90°, sorted by position)
2θ (°)	Rel. int.
10.8	64.4
29.2	100.0
36.1	21.4
38.9	33.5
44.6	34.6
48.3	12.2
54.2	17.0
72.7	13.9

Structural model:
```
data_Rb3Er3TaSe8
_chemical_formula_sum 'Rb3 Er3 Ta1 Se8'
_symmetry_space_group_name_H-M 'P 1'
_symmetry_Int_Tables_number 1
_cell_length_a 9.4383
_cell_length_b 9.4383
_cell_length_c 9.4383
_cell_angle_alpha 51.02
_cell_angle_beta 51.02
_cell_angle_gamma 51.02
loop_
_symmetry_equiv_pos_as_xyz
'x,y,z'
loop_
_atom_site_label
_atom_site_fract_x
_atom_site_fract_y
_atom_site_fract_z
Rb1 0.0000 0.5000 0.5000
Rb2 0.5000 0.0000 0.5000
Rb3 0.5000 0.5000 0.0000
Er1 0.0000 0.0000 0.5000
Er2 0.0000 0.5000 0.0000
Er3 0.5000 0.0000 0.0000
Ta1 0.5000 0.5000 0.5000
Se1 0.2318 0.2318 0.2318
Se2 0.2491 0.7183 0.7183
Se3 0.2817 0.2817 0.7509
Se4 0.2817 0.7509 0.2817
Se5 0.7183 0.2491 0.7183
Se6 0.7183 0.7183 0.2491
Se7 0.7509 0.2817 0.2817
Se8 0.7682 0.7682 0.7682
```

# 5
For Rb3Er2SnTe6, DFT lattice parameters and positions (GGA-PBE) gives the theoretical XRD peak list in this record (λ = 1.5418 Å (Cu Kα)).
Lines closer than 0.1° are merged.

Peak list (8 most intense, 2θ from 10° to 90°, sorted by position)
2θ (°)	Rel. int.
10.4	28.2
26.7	100.0
33.5	14.9
36.2	32.2
39.8	37.9
45.3	10.5
48.6	19.2
64.6	16.3

Structural model:
```
data_Rb3Er2SnTe6
_chemical_formula_sum 'Rb3 Er2 Sn1 Te6'
_symmetry_space_group_name_H-M 'P 1'
_symmetry_Int_Tables_number 1
_cell_length_a 7.8390
_cell_length_b 7.8390
_cell_length_c 8.9296
_cell_angle_alpha 98.41
_cell_angle_beta 98.41
_cell_angle_gamma 120.01
loop_
_symmetry_equiv_pos_as_xyz
'x,y,z'
loop_
_atom_site_label
_atom_site_fract_x
_atom_site_fract_y
_atom_site_fract_z
Rb1 0.0000 0.0000 0.0000
Rb2 0.3342 0.6658 0.0000
Rb3 0.6658 0.3342 0.0000
Er1 0.1668 0.8332 0.5000
Er2 0.8332 0.1668 0.5000
Sn1 0.5000 0.5000 0.5000
Te1 0.0983 0.4345 0.3037
Te2 0.2291 0.2291 0.6962
Te3 0.4345 0.0983 0.3037
Te4 0.5655 0.9017 0.6963
Te5 0.7709 0.7709 0.3038
Te6 0.9017 0.5655 0.6963
```

# 6
For Rb2Er3Te6, DFT lattice parameters and positions (GGA-PBE) gives the theoretical XRD peak list in this record (λ = 1.5418 Å (Cu Kα)).
Lines closer than 0.1° are merged.

Peak list (8 most intense, 2θ from 10° to 90°, sorted by position)
2θ (°)	Rel. int.
27.2	100.0
33.4	22.6
35.9	35.3
41.7	35.0
42.9	10.2
44.2	15.3
50.5	18.1
67.5	15.1

Structural model:
```
data_Rb2Er3Te6
_chemical_formula_sum 'Rb2 Er3 Te6'
_symmetry_space_group_name_H-M 'P 1'
_symmetry_Int_Tables_number 1
_cell_length_a 7.5061
_cell_length_b 7.5061
_cell_length_c 9.3069
_cell_angle_alpha 97.74
_cell_angle_beta 97.74
_cell_angle_gamma 120.01
loop_
_symmetry_equiv_pos_as_xyz
'x,y,z'
loop_
_atom_site_label
_atom_site_fract_x
_atom_site_fract_y
_atom_site_fract_z
Rb1 0.1664 0.8336 0.0000
Rb2 0.8336 0.1664 0.0000
Er1 0.0000 0.0000 0.5000
Er2 0.3324 0.6676 0.5000
Er3 0.6676 0.3324 0.5000
Te1 0.0689 0.3997 0.6985
Te2 0.2699 0.2699 0.3025
Te3 0.3997 0.0689 0.6985
Te4 0.6003 0.9311 0.3015
Te5 0.7301 0.7301 0.6975
Te6 0.9311 0.6003 0.3015
```

# 7
For RbErTe4, DFT lattice parameters and positions (GGA-PBE) gives the theoretical XRD peak list in this record (λ = 1.5418 Å (Cu Kα)).
Lines closer than 0.1° are merged.

Peak list (8 most intense, 2θ from 10° to 90°, sorted by position)
2θ (°)	Rel. int.
26.7	86.8
30.8	100.0
32.6	42.6
35.2	29.3
41.8	47.1
49.5	36.0
57.5	22.3
60.9	19.1

Structural model:
```
data_RbErTe4
_chemical_formula_sum 'Rb2 Er2 Te8'
_symmetry_space_group_name_H-M 'P 1'
_symmetry_Int_Tables_number 1
_cell_length_a 6.8402
_cell_length_b 6.8402
_cell_length_c 9.2221
_cell_angle_alpha 90.00
_cell_angle_beta 90.00
_cell_angle_gamma 90.00
loop_
_symmetry_equiv_pos_as_xyz
'x,y,z'
loop_
_atom_site_label
_atom_site_fract_x
_atom_site_fract_y
_atom_site_fract_z
Rb1 0.2500 0.2500 0.0000
Rb2 0.7500 0.7500 0.0000
Er1 0.2500 0.2500 0.5000
Er2 0.7500 0.7500 0.5000
Te1 0.1031 0.6031 0.3025
Te2 0.1031 0.8969 0.6975
Te3 0.3969 0.6031 0.6975
Te4 0.3969 0.8969 0.3025
Te5 0.6031 0.1031 0.6975
Te6 0.6031 0.3969 0.3025
Te7 0.8969 0.1031 0.3025
Te8 0.8969 0.3969 0.6975
```

# 8
For Rb2ErTe6, DFT lattice parameters and positions (GGA-PBE) gives the theoretical XRD peak list in this record (λ = 1.5418 Å (Cu Kα)).
Lines closer than 0.1° are merged.

Peak list (8 most intense, 2θ from 10° to 90°, sorted by position)
2θ (°)	Rel. int.
11.1	91.7
21.6	61.3
27.5	100.0
32.8	53.8
33.8	36.8
36.2	50.5
37.1	27.6
39.1	47.3

Structural model:
```
data_Rb2ErTe6
_chemical_formula_sum 'Rb2 Er1 Te6'
_symmetry_space_group_name_H-M 'P 1'
_symmetry_Int_Tables_number 1
_cell_length_a 9.4499
_cell_length_b 9.4499
_cell_length_c 5.0882
_cell_angle_alpha 97.80
_cell_angle_beta 97.80
_cell_angle_gamma 57.57
loop_
_symmetry_equiv_pos_as_xyz
'x,y,z'
loop_
_atom_site_label
_atom_site_fract_x
_atom_site_fract_y
_atom_site_fract_z
Rb1 0.1699 0.1699 0.4101
Rb2 0.8301 0.8301 0.5899
Er1 0.5000 0.5000 0.0000
Te1 0.1672 0.5194 0.1142
Te2 0.2934 0.7066 0.5000
Te3 0.4806 0.8328 0.8858
Te4 0.5194 0.1672 0.1142
Te5 0.7066 0.2934 0.5000
Te6 0.8328 0.4806 0.8858
```

# 9
For Er2Re3Ru, DFT lattice parameters and positions (GGA-PBE) gives the theoretical XRD peak list in this record (λ = 1.5418 Å (Cu Kα)).
Lines closer than 0.1° are merged.

Peak list (8 most intense, 2θ from 10° to 90°, sorted by position)
2θ (°)	Rel. int.
32.6	51.7
38.1	53.3
39.2	27.3
39.5	100.0
40.1	80.9
41.8	66.1
68.2	35.7
71.8	30.7

Structural model:
```
data_Er2Re3Ru
_chemical_formula_sum 'Er4 Re6 Ru2'
_symmetry_space_group_name_H-M 'P 1'
_symmetry_Int_Tables_number 1
_cell_length_a 9.0996
_cell_length_b 5.2616
_cell_length_c 5.5148
_cell_angle_alpha 90.00
_cell_angle_beta 123.49
_cell_angle_gamma 90.00
loop_
_symmetry_equiv_pos_as_xyz
'x,y,z'
loop_
_atom_site_label
_atom_site_fract_x
_atom_site_fract_y
_atom_site_fract_z
Er1 0.1257 0.0000 0.3771
Er2 0.3743 0.5000 0.6229
Er3 0.6257 0.5000 0.3771
Er4 0.8743 0.0000 0.6229
Re1 0.0000 0.5000 0.0000
Re2 0.2500 0.2500 0.0000
Re3 0.2500 0.7500 0.0000
Re4 0.5000 0.0000 0.0000
Re5 0.7500 0.2500 0.0000
Re6 0.7500 0.7500 0.0000
Ru1 0.0000 0.5000 0.5000
Ru2 0.5000 0.0000 0.5000
```

# 10
For Er2Re3Si4, DFT lattice parameters and positions (GGA-PBE) gives the theoretical XRD peak list in this record (λ = 1.5418 Å (Cu Kα)).
Lines closer than 0.1° are merged.

Peak list (8 most intense, 2θ from 10° to 90°, sorted by position)
2θ (°)	Rel. int.
14.2	100.0
28.8	68.9
34.6	26.2
38.5	32.9
38.7	61.6
39.9	57.2
41.5	41.9
43.6	22.5

Structural model:
```
data_Er2Re3Si4
_chemical_formula_sum 'Er2 Re3 Si4'
_symmetry_space_group_name_H-M 'P 1'
_symmetry_Int_Tables_number 1
_cell_length_a 7.7902
_cell_length_b 6.7843
_cell_length_c 5.3870
_cell_angle_alpha 78.67
_cell_angle_beta 58.64
_cell_angle_gamma 42.69
loop_
_symmetry_equiv_pos_as_xyz
'x,y,z'
loop_
_atom_site_label
_atom_site_fract_x
_atom_site_fract_y
_atom_site_fract_z
Er1 0.1385 0.1385 0.8615
Er2 0.8615 0.8615 0.1385
Re1 0.0000 0.0000 0.5000
Re2 0.5000 0.5000 0.0000
Re3 0.5000 0.5000 0.5000
Si1 0.1648 0.5095 0.4905
Si2 0.4905 0.8352 0.1648
Si3 0.5095 0.1648 0.8352
Si4 0.8352 0.4905 0.5095
```

# 11
For Er2VRe3, DFT lattice parameters and positions (GGA-PBE) gives the theoretical XRD peak list in this record (λ = 1.5418 Å (Cu Kα)).
Lines closer than 0.1° are merged.

Peak list (8 most intense, 2θ from 10° to 90°, sorted by position)
2θ (°)	Rel. int.
20.1	13.6
33.2	34.9
39.1	23.7
39.3	100.0
41.1	33.4
63.4	13.6
69.7	16.6
70.1	16.4

Structural model:
```
data_Er2VRe3
_chemical_formula_sum 'Er4 V2 Re6'
_symmetry_space_group_name_H-M 'P 1'
_symmetry_Int_Tables_number 1
_cell_length_a 9.3016
_cell_length_b 5.3679
_cell_length_c 5.3992
_cell_angle_alpha 90.00
_cell_angle_beta 125.13
_cell_angle_gamma 90.00
loop_
_symmetry_equiv_pos_as_xyz
'x,y,z'
loop_
_atom_site_label
_atom_site_fract_x
_atom_site_fract_y
_atom_site_fract_z
Er1 0.1237 0.0000 0.3712
Er2 0.3763 0.5000 0.6288
Er3 0.6237 0.5000 0.3712
Er4 0.8763 0.0000 0.6288
V1 0.0000 0.5000 0.5000
V2 0.5000 0.0000 0.5000
Re1 0.0000 0.5000 0.0000
Re2 0.2500 0.2500 0.0000
Re3 0.2500 0.7500 0.0000
Re4 0.5000 0.0000 0.0000
Re5 0.7500 0.2500 0.0000
Re6 0.7500 0.7500 0.0000
```

# 12
For Er2Rh7, DFT lattice parameters and positions (GGA-PBE) gives the theoretical XRD peak list in this record (λ = 1.5418 Å (Cu Kα)).
Lines closer than 0.1° are merged.

Peak list (8 most intense, 2θ from 10° to 90°, sorted by position)
2θ (°)	Rel. int.
30.1	24.3
31.9	24.3
34.3	34.7
39.9	30.9
40.2	100.0
44.0	34.0
65.5	23.4
72.3	23.7

Structural model:
```
data_Er2Rh7
_chemical_formula_sum 'Er4 Rh14'
_symmetry_space_group_name_H-M 'P 1'
_symmetry_Int_Tables_number 1
_cell_length_a 13.4456
_cell_length_b 13.4456
_cell_length_c 13.4456
_cell_angle_alpha 22.41
_cell_angle_beta 22.41
_cell_angle_gamma 22.41
loop_
_symmetry_equiv_pos_as_xyz
'x,y,z'
loop_
_atom_site_label
_atom_site_fract_x
_atom_site_fract_y
_atom_site_fract_z
Er1 0.0492 0.0492 0.0492
Er2 0.1471 0.1471 0.1471
Er3 0.8529 0.8529 0.8529
Er4 0.9508 0.9508 0.9508
Rh1 0.0000 0.5000 0.5000
Rh2 0.1091 0.6120 0.6120
Rh3 0.2775 0.2775 0.2775
Rh4 0.3880 0.3880 0.8909
Rh5 0.3880 0.8909 0.3880
Rh6 0.3895 0.3895 0.3895
Rh7 0.5000 0.0000 0.5000
Rh8 0.5000 0.5000 0.0000
Rh9 0.5000 0.5000 0.5000
Rh10 0.6105 0.6105 0.6105
Rh11 0.6120 0.1091 0.6120
Rh12 0.6120 0.6120 0.1091
Rh13 0.7225 0.7225 0.7225
Rh14 0.8909 0.3880 0.3880
```

Repeat the eleventh record exactly.
For Er2VRe3, DFT lattice parameters and positions (GGA-PBE) gives the theoretical XRD peak list in this record (λ = 1.5418 Å (Cu Kα)).
Lines closer than 0.1° are merged.

Peak list (8 most intense, 2θ from 10° to 90°, sorted by position)
2θ (°)	Rel. int.
20.1	13.6
33.2	34.9
39.1	23.7
39.3	100.0
41.1	33.4
63.4	13.6
69.7	16.6
70.1	16.4

Structural model:
```
data_Er2VRe3
_chemical_formula_sum 'Er4 V2 Re6'
_symmetry_space_group_name_H-M 'P 1'
_symmetry_Int_Tables_number 1
_cell_length_a 9.3016
_cell_length_b 5.3679
_cell_length_c 5.3992
_cell_angle_alpha 90.00
_cell_angle_beta 125.13
_cell_angle_gamma 90.00
loop_
_symmetry_equiv_pos_as_xyz
'x,y,z'
loop_
_atom_site_label
_atom_site_fract_x
_atom_site_fract_y
_atom_site_fract_z
Er1 0.1237 0.0000 0.3712
Er2 0.3763 0.5000 0.6288
Er3 0.6237 0.5000 0.3712
Er4 0.8763 0.0000 0.6288
V1 0.0000 0.5000 0.5000
V2 0.5000 0.0000 0.5000
Re1 0.0000 0.5000 0.0000
Re2 0.2500 0.2500 0.0000
Re3 0.2500 0.7500 0.0000
Re4 0.5000 0.0000 0.0000
Re5 0.7500 0.2500 0.0000
Re6 0.7500 0.7500 0.0000
```

> What is the formula in the tenth record?

Er2Re3Si4